Diffraction record for Li3CoN2. The powder diffraction line list is simulated, not measured: it uses a structure optimized by DFT (PBE) and Cu Kα (λ = 1.5418 Å).

Peak list (6 most intense, 15° ≤ 2θ ≤ 90°, by angle)
2θ/deg, I_rel
23.09, 100
35.61, 52
38.16, 17
45.08, 14
55.07, 36
60.50, 18

Structural model:
Cell lengths 9.434, 9.434, 9.434 Å; angles 90.00, 90.00, 90.00 degrees
Space group Ia-3 (No. 206)
Asymmetric unit:
Li (0.103, 0.138, 0.882)
Co (0.137, 0.137, 0.137)
N (0.000, 0.250, 0.033)
N (0.250, 0.250, 0.250)

***

Diffraction record for Li5Co4N4. The powder diffraction line list is simulated, not measured: it uses a structure optimized by DFT (PBE) and Cu Kα (λ = 1.5418 Å).

Peak list (6 most intense, 15° ≤ 2θ ≤ 90°, by angle)
2θ/deg, I_rel
30.42, 37
38.76, 23
39.07, 76
43.56, 24
48.22, 100
50.05, 30

Structural model:
Cell lengths 9.293, 9.293, 2.771 Å; angles 90.00, 90.00, 90.00 degrees
Space group I4/m (No. 87)
Asymmetric unit:
Li (0.000, 0.000, 0.000)
Li (0.133, 0.815, 0.500)
Co (0.086, 0.372, 0.500)
N (0.013, 0.256, 0.000)